Starting from a cell relaxed with PBE, the powder diffraction line list of BaSr3Ag4 was calculated for Cu Ka.
No peak broadening, texture or thermal motion is included.

Structural model:
```
data_BaSr3Ag4
_space_group_name_H-M_alt 'P 1 m 1'
_space_group_IT_number 6
_cell_length_a 6.501
_cell_length_b 4.858
_cell_length_c 8.457
_cell_angle_alpha 90.00
_cell_angle_beta 90.69
_cell_angle_gamma 90.00
loop_
_space_group_symop_operation_xyz
'x,y,z'
'x,-y,z'
loop_
_atom_site_label
_atom_site_fract_x
_atom_site_fract_y
_atom_site_fract_z
Ba1 0.000 0.000 0.000
Sr1 0.234 0.000 0.499
Sr2 0.499 0.500 0.141
Sr3 0.733 0.500 0.636
Ag1 0.252 0.500 0.776
Ag2 0.492 0.000 0.849
Ag3 0.738 0.000 0.361
Ag4 0.986 0.500 0.295
```

Peak list (10 most intense, 15 to 90 degrees two-theta, low angle first)
- d = 5.124 Å, I = 32, (1 0 1)
- d = 3.189 Å, I = 88, (0 1 2)
- d = 3.046 Å, I = 35, (2 0 -1)
- d = 3.022 Å, I = 31, (2 0 1)
- d = 2.874 Å, I = 63, (1 1 -2)
- d = 2.853 Å, I = 58, (1 1 2)
- d = 2.597 Å, I = 30, (1 0 -3)
- d = 2.579 Å, I = 100, (2 1 -1)
- d = 2.566 Å, I = 73, (2 1 1)
- d = 2.429 Å, I = 61, (0 2 0)